# 1
Simulated powder diffraction line list of InSbSe3 for a wavelength of 1.5418 Å, from a PBE-relaxed structure.
Lines closer than 0.1° are merged.

Most intense lines, 15 to 90 degrees two-theta, by angle:
- 15.35 deg, 5.773 Å, I 32
- 28.27 deg, 3.157 Å, I 29
- 28.98 deg, 3.081 Å, I 75
- 31.00 deg, 2.885 Å, I 100
- 36.48 deg, 2.463 Å, I 20
- 38.68 deg, 2.328 Å, I 41
- 44.42 deg, 2.039 Å, I 45
- 46.87 deg, 1.938 Å, I 22
- 50.32 deg, 1.813 Å, I 20
- 55.09 deg, 1.667 Å, I 24

```
InSbSe3
1.0
9.9605 0.0000 0.0000
0.0000 4.0809 0.0000
0.0000 0.0000 14.1695
In Sb Se
4 4 12
Direct
0.1440 0.2500 0.0466
0.3560 0.7500 0.5466
0.6440 0.2500 0.4534
0.8560 0.7500 0.9534
0.0285 0.2500 0.6346
0.4715 0.7500 0.1346
0.5285 0.2500 0.8654
0.9715 0.7500 0.3654
0.0061 0.2500 0.8817
0.1606 0.2500 0.4727
0.1903 0.7500 0.7001
0.3097 0.2500 0.2001
0.3394 0.7500 0.9727
0.4939 0.7500 0.3817
0.5061 0.2500 0.6183
0.6606 0.2500 0.0273
0.6903 0.7500 0.7999
0.8097 0.2500 0.2999
0.8394 0.7500 0.5273
0.9939 0.7500 0.1183
```

=====

# 2
Simulated powder diffraction line list of Zr4Fe7Ge6 for a wavelength of 1.5418 Å, from a PBE-relaxed structure.
Lines closer than 0.1° are merged.

Most intense lines, 15 to 90 degrees two-theta, by angle:
- 31.92 deg, 2.803 Å, I 19
- 35.81 deg, 2.508 Å, I 12
- 39.36 deg, 2.289 Å, I 100
- 42.66 deg, 2.119 Å, I 12
- 45.77 deg, 1.982 Å, I 58
- 48.72 deg, 1.869 Å, I 18
- 54.26 deg, 1.691 Å, I 15
- 66.73 deg, 1.402 Å, I 26
- 75.89 deg, 1.254 Å, I 10
- 80.32 deg, 1.195 Å, I 20

```
Zr4Fe7Ge6
1.0
-3.9647 3.9647 3.9647
3.9647 -3.9647 3.9647
3.9647 3.9647 -3.9647
Zr Fe Ge
4 7 6
Direct
0.0000 0.0000 0.5000
0.0000 0.5000 0.0000
0.5000 0.0000 0.0000
0.5000 0.5000 0.5000
0.0000 0.0000 0.0000
0.2500 0.5000 0.7500
0.2500 0.7500 0.5000
0.5000 0.2500 0.7500
0.5000 0.7500 0.2500
0.7500 0.2500 0.5000
0.7500 0.5000 0.2500
0.0000 0.3150 0.3150
0.0000 0.6850 0.6850
0.3150 0.0000 0.3150
0.3150 0.3150 0.0000
0.6850 0.0000 0.6850
0.6850 0.6850 0.0000
```

=====

# 3
Simulated powder diffraction line list of Mg2H2Pb for a wavelength of 1.5418 Å, from a PBE-relaxed structure.
Lines closer than 0.1° are merged.

Most intense lines, 15 to 90 degrees two-theta, by angle:
- 27.13 deg, 3.287 Å, I 100
- 33.38 deg, 2.684 Å, I 97
- 37.47 deg, 2.400 Å, I 35
- 39.98 deg, 2.255 Å, I 30
- 43.52 deg, 2.080 Å, I 23
- 55.93 deg, 1.644 Å, I 25
- 56.88 deg, 1.619 Å, I 22
- 61.48 deg, 1.508 Å, I 26
- 65.01 deg, 1.435 Å, I 29
- 70.10 deg, 1.342 Å, I 23

```
Mg2H2Pb
1.0
-1.6972 1.6972 6.5782
1.6972 -1.6972 6.5782
1.6972 1.6972 -6.5782
Mg H Pb
2 2 1
Direct
0.1666 0.1666 0.0000
0.8334 0.8334 0.0000
0.2500 0.7500 0.5000
0.7500 0.2500 0.5000
0.5000 0.5000 0.0000
```

=====

# 4
Simulated powder diffraction line list of KHfMg6O7 for a wavelength of 1.5418 Å, from a PBE-relaxed structure.
Lines closer than 0.1° are merged.

Most intense lines, 15 to 90 degrees two-theta, by angle:
- 22.53 deg, 3.947 Å, I 100
- 25.92 deg, 3.438 Å, I 77
- 30.80 deg, 2.903 Å, I 71
- 31.19 deg, 2.868 Å, I 43
- 36.65 deg, 2.452 Å, I 33
- 37.10 deg, 2.424 Å, I 33
- 43.35 deg, 2.087 Å, I 64
- 51.20 deg, 1.784 Å, I 24
- 54.12 deg, 1.695 Å, I 28
- 58.34 deg, 1.582 Å, I 32

```
KHfMg6O7
1.0
4.1746 0.0000 0.0000
0.0000 4.1746 0.0000
0.0000 0.0000 12.1176
K Hf Mg O
1 1 6 7
Direct
0.0000 0.0000 0.0000
0.5000 0.5000 0.8340
0.0000 0.0000 0.4600
0.0000 0.5000 0.2784
0.0000 0.5000 0.6464
0.5000 0.0000 0.2784
0.5000 0.0000 0.6464
0.5000 0.5000 0.4639
0.0000 0.0000 0.2776
0.0000 0.0000 0.6277
0.0000 0.5000 0.4583
0.0000 0.5000 0.8267
0.5000 0.0000 0.4583
0.5000 0.0000 0.8267
0.5000 0.5000 0.6531
```

=====

# 5
Simulated powder diffraction line list of K7Rb3Pb for a wavelength of 1.5418 Å, from a PBE-relaxed structure.
Lines closer than 0.1° are merged.

Most intense lines, 15 to 90 degrees two-theta, by angle:
- 17.38 deg, 5.101 Å, I 39
- 19.01 deg, 4.669 Å, I 32
- 23.77 deg, 3.743 Å, I 100
- 25.42 deg, 3.504 Å, I 60
- 26.23 deg, 3.398 Å, I 61
- 27.14 deg, 3.285 Å, I 30
- 29.57 deg, 3.020 Å, I 20
- 30.50 deg, 2.931 Å, I 27
- 32.55 deg, 2.751 Å, I 29
- 34.11 deg, 2.628 Å, I 32

```
K7Rb3Pb
1.0
7.5211 -6.6939 0.0000
7.5211 6.6939 0.0000
-2.9774 0.0000 7.8788
K Rb Pb
7 3 1
Direct
0.0000 0.0000 0.0000
0.0850 0.7365 0.5279
0.3292 0.3292 0.1899
0.4372 0.7735 0.3041
0.5302 0.5302 0.7352
0.7365 0.0850 0.5279
0.7735 0.4372 0.3041
0.1957 0.1957 0.5805
0.5525 0.9781 0.9235
0.9781 0.5525 0.9235
0.7554 0.7554 0.6348
```

=====

# 6
Simulated powder diffraction line list of Rb3AgMo2S8 for a wavelength of 1.5418 Å, from a PBE-relaxed structure.
Lines closer than 0.1° are merged.

Most intense lines, 15 to 90 degrees two-theta, by angle:
- 17.04 deg, 5.202 Å, I 20
- 23.54 deg, 3.779 Å, I 61
- 24.83 deg, 3.586 Å, I 100
- 31.65 deg, 2.827 Å, I 20
- 34.48 deg, 2.601 Å, I 57
- 40.62 deg, 2.221 Å, I 15
- 42.96 deg, 2.105 Å, I 25
- 43.73 deg, 2.070 Å, I 21
- 48.18 deg, 1.889 Å, I 23
- 50.94 deg, 1.793 Å, I 28

```
Rb3AgMo2S8
1.0
7.1710 0.0000 0.0000
-3.5855 6.2103 0.0000
0.0000 0.0000 9.5256
Rb Ag Mo S
3 1 2 8
Direct
0.0000 0.0000 0.0000
0.3333 0.6667 0.6471
0.6667 0.3333 0.3529
0.0000 0.0000 0.5000
0.3333 0.6667 0.2331
0.6667 0.3333 0.7669
0.1654 0.3308 0.3111
0.1654 0.8346 0.3111
0.3308 0.1654 0.6889
0.3333 0.6667 0.0052
0.6667 0.3333 0.9948
0.6692 0.8346 0.3111
0.8346 0.1654 0.6889
0.8346 0.6692 0.6889
```